This entry pairs a crystal structure of CaCo6O2F10 with its calculated powder diffraction line list. Radiation: Cu Kα X-rays. Structure: a structure optimized by DFT (PBE+U).
No peak broadening, texture or thermal motion is included.

Cell and atoms:
abc: 6.6125 6.8240 11.2909
angles: 90.00 97.36 90.00
Space group Cm (No. 8)
Inequivalent atoms, fractional coordinates:
Ca 0.0000 0.0000 0.0000
Co 0.0509 0.5000 0.0706
Co 0.3381 0.5000 0.3688
Co 0.3470 0.0000 0.2556
Co 0.3475 0.0000 0.8027
Co 0.3737 0.0000 0.5265
Co 0.4098 0.5000 0.6651
O 0.0729 0.0000 0.8160
O 0.1231 0.5000 0.2340
F 0.0523 0.0000 0.2115
F 0.0650 0.0000 0.5145
F 0.1273 0.5000 0.9051
F 0.1793 0.5000 0.5277
F 0.3252 0.2062 0.0351
F 0.3521 0.2005 0.3869
F 0.3889 0.1936 0.6688

Peak list (10 most intense, 10° ≤ 2θ ≤ 90°, in order of falling intensity)
Position (°2θ)	d/Å	I_rel	index
26.1	3.412	100	0 2 0
35.7	2.513	47	1 1 -4
27.2	3.279	36	2 0 0
31.9	2.805	34	1 1 3
27.3	3.262	24	2 0 -1
53.7	1.706	22	0 4 0
49.8	1.829	19	1 3 3
29.1	3.071	19	1 1 -3
52.6	1.740	18	1 3 -4
51.4	1.778	14	3 1 -4